Structure and simulated XRD peak list of Nb2PbO6 (DFT lattice parameters and positions (GGA-PBE); a wavelength of 1.5418 Å).
Kinematic intensities with the Lorentz-polarization factor, no thermal factor.

Structural model:
```
Nb2PbO6
1.0
13.0518 0.0000 0.0000
0.0000 3.9409 0.0000
-0.5693 0.0000 13.0841
Nb Pb O
10 5 30
Cartesian
0.0000 0.0000 0.0000 Nb
0.5910 0.0000 3.8245 Nb
1.5247 0.0000 7.6796 Nb
3.0436 0.0000 11.2154 Nb
4.3288 0.0000 4.7525 Nb
6.3651 0.0000 1.0259 Nb
6.8894 0.0000 10.4024 Nb
8.0575 0.0000 6.7313 Nb
10.0385 0.0000 2.7441 Nb
10.8055 0.0000 9.4467 Nb
3.3761 1.9704 1.0151 Pb
5.2513 1.9704 7.4990 Pb
7.3422 1.9704 3.8182 Pb
9.6740 1.9704 12.0570 Pb
12.0544 1.9704 6.2069 Pb
0.3506 1.9704 4.1238 O
0.3320 0.0000 5.9811 O
0.5465 0.0000 1.9368 O
1.1490 1.9704 7.6294 O
1.1618 0.0000 12.4793 O
2.0645 0.0000 9.5887 O
2.4823 0.0000 3.9962 O
2.9169 1.9704 11.6719 O
3.1921 0.0000 6.8993 O
4.4413 0.0000 0.2277 O
4.2676 1.9704 5.0972 O
4.7288 0.0000 10.4982 O
5.1933 0.0000 3.1298 O
6.0152 1.9704 1.3126 O
5.9306 0.0000 5.9881 O
6.7922 0.0000 8.4911 O
6.7498 1.9704 10.5488 O
6.7374 0.0000 12.5606 O
7.6783 1.9704 6.7494 O
7.8870 0.0000 2.2708 O
8.6977 0.0000 4.9648 O
8.7891 0.0000 10.6203 O
9.6106 1.9704 2.9524 O
9.6474 0.0000 7.7759 O
10.8223 0.0000 1.0884 O
10.5572 1.9704 9.7061 O
11.4994 0.0000 3.9218 O
11.3299 0.0000 11.4364 O
12.7064 1.9704 0.0659 O
12.3848 0.0000 8.5491 O
```

Largest 10 diffraction maxima, by angle, 2θ from 10° to 80°:
Position (°2θ)  Rel. int.  index
14.9  57  1 0 -2
15.4  56  2 0 1
27.1  91  1 1 -2
27.5  100  2 1 1
27.9  70  4 0 -1
28.4  60  1 0 4
30.1  55  2 0 -4
31.2  94  4 0 2
31.6  77  1 1 3
46.1  52  0 2 0